[1]
Structure and theoretical PXRD pattern of Ho3Er4Th2 (the GGA-PBE geometry in Alexandria; Cu Kα (λ = 1.5418 Å)).

Cell and atoms:
a b c (Å): 3.536 3.536 26.205
angles (deg): 90.00 90.00 120.00
Sites, in units of the cell vectors:
Ho  0.000  0.000  0.000
Ho  0.000  0.000  0.347
Ho  0.667  0.333  0.669
Er  0.000  0.000  0.562
Er  0.000  0.000  0.777
Er  0.667  0.333  0.241
Er  0.667  0.333  0.455
Th  0.667  0.333  0.111
Th  0.667  0.333  0.887

Most intense lines, 2θ from 15° to 90°, by intensity:
- 33.90°, rel. 100
- 32.27°, rel. 54
- 29.16°, rel. 47
- 30.71°, rel. 44
- 61.35°, rel. 37
- 51.70°, rel. 36
- 57.72°, rel. 32
- 42.86°, rel. 29



[2]
Structure and theoretical PXRD pattern of Ho2Er2Th (the GGA-PBE geometry in Alexandria; Cu Kα (λ = 1.5418 Å)).

Cell and atoms:
a b c (Å): 5.330 3.485 8.770
angles (deg): 90.00 107.64 90.00
Sites, in units of the cell vectors:
Ho  0.199  0.000  0.399
Ho  0.801  0.000  0.601
Er  0.393  0.500  0.786
Er  0.607  0.500  0.214
Th  0.000  0.000  0.000

Most intense lines, 2θ from 15° to 90°, by intensity:
- 31.59°, rel. 100
- 31.13°, rel. 93
- 33.63°, rel. 43
- 33.48°, rel. 43
- 48.19°, rel. 31
- 62.59°, rel. 29
- 41.50°, rel. 18
- 58.96°, rel. 18



[3]
Structure and theoretical PXRD pattern of HoEr2TmTh (the GGA-PBE geometry in Alexandria; Cu Kα (λ = 1.5418 Å)).

Cell and atoms:
a b c (Å): 7.000 7.000 7.150
angles (deg): 90.00 90.00 107.61
Sites, in units of the cell vectors:
Ho  0.004  0.996  0.750
Ho  0.996  0.004  0.250
Er  0.311  0.311  0.000
Er  0.311  0.311  0.500
Er  0.689  0.689  0.000
Er  0.689  0.689  0.500
Tm  0.278  0.722  0.250
Tm  0.722  0.278  0.750
Th  0.271  0.729  0.750
Th  0.729  0.271  0.250

Most intense lines, 2θ from 15° to 90°, by intensity:
- 33.13°, rel. 100
- 46.49°, rel. 65
- 29.57°, rel. 63
- 31.68°, rel. 59
- 26.72°, rel. 55
- 36.31°, rel. 53
- 67.18°, rel. 48
- 40.56°, rel. 37



[4]
Structure and theoretical PXRD pattern of YHoEr3Th (the GGA-PBE geometry in Alexandria; Cu Kα (λ = 1.5418 Å)).

Cell and atoms:
a b c (Å): 10.583 3.546 10.583
angles (deg): 90.00 109.24 90.00
Sites, in units of the cell vectors:
Y  0.209  0.250  0.375
Y  0.791  0.750  0.625
Ho  0.125  0.750  0.628
Ho  0.875  0.250  0.372
Er  0.043  0.250  0.875
Er  0.293  0.750  0.121
Er  0.459  0.750  0.628
Er  0.541  0.250  0.372
Er  0.707  0.250  0.879
Er  0.957  0.750  0.125
Th  0.376  0.250  0.875
Th  0.624  0.750  0.125

Most intense lines, 2θ from 15° to 90°, by intensity:
- 30.94°, rel. 100
- 35.92°, rel. 68
- 31.09°, rel. 33
- 51.81°, rel. 24
- 61.51°, rel. 24
- 61.39°, rel. 19
- 51.64°, rel. 16
- 61.67°, rel. 14



[5]
Structure and theoretical PXRD pattern of HoErTi (the GGA-PBE geometry in Alexandria; Cu Kα (λ = 1.5418 Å)).

Cell and atoms:
a b c (Å): 5.220 5.220 3.284
angles (deg): 90.00 90.00 120.00
Sites, in units of the cell vectors:
Ho  0.000  0.000  0.000
Er  0.333  0.667  0.500
Ti  0.667  0.333  0.500

Most intense lines, 2θ from 15° to 90°, by intensity:
- 33.73°, rel. 100
- 34.36°, rel. 81
- 61.14°, rel. 36
- 48.92°, rel. 35
- 19.64°, rel. 30
- 67.37°, rel. 23
- 82.31°, rel. 16
- 61.54°, rel. 15



[6]
Structure and theoretical PXRD pattern of HoEr6Tl (the GGA-PBE geometry in Alexandria; Cu Kα (λ = 1.5418 Å)).

Cell and atoms:
a b c (Å): 4.866 4.866 9.928
angles (deg): 90.00 90.00 90.00
Sites, in units of the cell vectors:
Ho  0.000  0.000  0.000
Er  0.000  0.500  0.254
Er  0.000  0.500  0.746
Er  0.500  0.000  0.254
Er  0.500  0.000  0.746
Er  0.500  0.500  0.000
Er  0.500  0.500  0.500
Tl  0.000  0.000  0.500

Most intense lines, 2θ from 15° to 90°, by intensity:
- 31.64°, rel. 100
- 36.95°, rel. 33
- 63.27°, rel. 28
- 52.68°, rel. 24
- 36.19°, rel. 17
- 62.26°, rel. 14
- 66.08°, rel. 12
- 86.34°, rel. 12



[7]
Structure and theoretical PXRD pattern of Ho7Er3Tl (the GGA-PBE geometry in Alexandria; Cu Kα (λ = 1.5418 Å)).

Cell and atoms:
a b c (Å): 6.917 6.917 8.451
angles (deg): 90.00 90.00 120.00
Sites, in units of the cell vectors:
Ho  0.000  0.000  0.000
Ho  0.163  0.327  0.665
Ho  0.163  0.837  0.665
Ho  0.501  0.002  0.990
Ho  0.501  0.499  0.990
Ho  0.673  0.837  0.665
Ho  0.998  0.499  0.990
Er  0.331  0.165  0.327
Er  0.835  0.165  0.327
Er  0.835  0.669  0.327
Tl  0.667  0.333  0.660

Most intense lines, 2θ from 15° to 90°, by intensity:
- 31.71°, rel. 100
- 36.78°, rel. 51
- 53.00°, rel. 35
- 63.07°, rel. 32
- 63.16°, rel. 11
- 66.21°, rel. 9
- 86.80°, rel. 9
- 89.67°, rel. 9



[8]
Structure and theoretical PXRD pattern of Ho9Er4Tl11 (the GGA-PBE geometry in Alexandria; Cu Kα (λ = 1.5418 Å)).

Cell and atoms:
a b c (Å): 13.983 13.983 3.567
angles (deg): 90.00 90.00 109.72
Sites, in units of the cell vectors:
Ho  0.000  0.000  0.000
Ho  0.114  0.658  0.000
Ho  0.296  0.483  0.000
Ho  0.342  0.886  0.000
Ho  0.483  0.296  0.000
Ho  0.517  0.704  0.000
Ho  0.658  0.114  0.000
Ho  0.704  0.517  0.000
Ho  0.886  0.342  0.000
Er  0.085  0.247  0.000
Er  0.247  0.085  0.000
Er  0.753  0.915  0.000
Er  0.915  0.753  0.000
Tl  0.090  0.448  0.500
Tl  0.123  0.877  0.500
Tl  0.285  0.285  0.500
Tl  0.314  0.686  0.500
Tl  0.448  0.090  0.500
Tl  0.500  0.500  0.500
Tl  0.552  0.910  0.500
Tl  0.686  0.314  0.500
Tl  0.715  0.715  0.500
Tl  0.877  0.123  0.500
Tl  0.910  0.552  0.500

Most intense lines, 2θ from 15° to 90°, by intensity:
- 32.34°, rel. 100
- 33.57°, rel. 73
- 34.44°, rel. 63
- 34.06°, rel. 43
- 58.87°, rel. 31
- 61.43°, rel. 30
- 51.22°, rel. 24
- 37.85°, rel. 22



[9]
Structure and theoretical PXRD pattern of Ho3Er3Tl (the GGA-PBE geometry in Alexandria; Cu Kα (λ = 1.5418 Å)).

Cell and atoms:
a b c (Å): 9.331 9.331 5.502
angles (deg): 90.00 90.00 120.00
Sites, in units of the cell vectors:
Ho  0.063  0.242  0.250
Ho  0.178  0.937  0.250
Ho  0.242  0.178  0.750
Ho  0.758  0.822  0.250
Ho  0.822  0.063  0.750
Ho  0.937  0.758  0.750
Er  0.106  0.480  0.750
Er  0.374  0.894  0.750
Er  0.480  0.374  0.250
Er  0.520  0.626  0.750
Er  0.626  0.106  0.250
Er  0.894  0.520  0.250
Tl  0.333  0.667  0.250
Tl  0.667  0.333  0.750

Most intense lines, 2θ from 15° to 90°, by intensity:
- 33.56°, rel. 100
- 32.55°, rel. 24
- 29.24°, rel. 24
- 62.57°, rel. 21
- 58.72°, rel. 20
- 51.85°, rel. 19
- 44.31°, rel. 15
- 63.19°, rel. 15



[10]
Structure and theoretical PXRD pattern of Ho4Er3Tl4 (the GGA-PBE geometry in Alexandria; Cu Kα (λ = 1.5418 Å)).

Cell and atoms:
a b c (Å): 10.593 10.593 10.593
angles (deg): 160.20 127.13 57.01
Sites, in units of the cell vectors:
Ho  0.026  0.838  0.188
Ho  0.350  0.162  0.188
Ho  0.650  0.838  0.812
Ho  0.974  0.162  0.812
Er  0.000  0.500  0.500
Er  0.403  0.403  0.000
Er  0.597  0.597  0.000
Tl  0.268  0.768  0.500
Tl  0.281  0.000  0.281
Tl  0.719  0.000  0.719
Tl  0.732  0.232  0.500

Most intense lines, 2θ from 15° to 90°, by intensity:
- 31.40°, rel. 100
- 32.63°, rel. 89
- 31.91°, rel. 69
- 34.60°, rel. 61
- 34.45°, rel. 41
- 39.06°, rel. 38
- 58.56°, rel. 37
- 46.45°, rel. 33



[11]
Structure and theoretical PXRD pattern of Ho7Er4Tl (the GGA-PBE geometry in Alexandria; Cu Kα (λ = 1.5418 Å)).

Cell and atoms:
a b c (Å): 5.508 5.508 13.898
angles (deg): 90.00 90.00 120.00
Sites, in units of the cell vectors:
Ho  0.000  0.000  0.000
Ho  0.000  0.000  0.268
Ho  0.000  0.000  0.732
Ho  0.333  0.667  0.173
Ho  0.333  0.667  0.422
Ho  0.667  0.333  0.578
Ho  0.667  0.333  0.827
Er  0.333  0.667  0.690
Er  0.333  0.667  0.929
Er  0.667  0.333  0.071
Er  0.667  0.333  0.310
Tl  0.000  0.000  0.500

Most intense lines, 2θ from 15° to 90°, by intensity:
- 32.51°, rel. 100
- 31.87°, rel. 96
- 57.60°, rel. 36
- 46.17°, rel. 35
- 58.01°, rel. 19
- 56.37°, rel. 16
- 77.15°, rel. 15
- 76.09°, rel. 13



[12]
Structure and theoretical PXRD pattern of Ho2Er5Tl (the GGA-PBE geometry in Alexandria; Cu Kα (λ = 1.5418 Å)).

Cell and atoms:
a b c (Å): 6.909 13.901 4.919
angles (deg): 90.00 90.00 90.00
Sites, in units of the cell vectors:
Ho  0.245  0.126  0.000
Ho  0.255  0.626  0.000
Ho  0.745  0.374  0.000
Ho  0.755  0.874  0.000
Er  0.000  0.000  0.500
Er  0.001  0.255  0.500
Er  0.244  0.874  0.000
Er  0.256  0.374  0.000
Er  0.499  0.755  0.500
Er  0.500  0.500  0.500
Er  0.501  0.245  0.500
Er  0.744  0.626  0.000
Er  0.756  0.126  0.000
Er  0.999  0.745  0.500
Tl  0.000  0.500  0.500
Tl  0.500  0.000  0.500

Most intense lines, 2θ from 15° to 90°, by intensity:
- 31.52°, rel. 100
- 31.65°, rel. 99
- 36.68°, rel. 67
- 52.73°, rel. 59
- 36.54°, rel. 34
- 62.69°, rel. 28
- 62.77°, rel. 28
- 62.99°, rel. 28